No. 1
Simulated X-ray diffraction stick pattern
Compound: Zr4Ni3As8
Radiation: Cu Kα X-rays
Structure: a DFT-relaxed cell (GGA-PBE, the Materials Project)
Peak positions follow from Bragg's law for the DFT cell and can differ from measured ones.

Cell and atoms:
abc: 3.8394 3.8394 17.7401
angles: 90.00 90.00 90.00
Space group P-4m2 (No. 115)
Symmetry-distinct sites (fractional):
Zr  0.0000  0.5000  0.1262
Zr  0.0000  0.5000  0.6324
Ni  0.0000  0.0000  0.5000
Ni  0.5000  0.5000  0.0000
Ni  0.5000  0.5000  0.5000
As  0.0000  0.0000  0.2468
As  0.0000  0.5000  0.4198
As  0.0000  0.5000  0.9281
As  0.5000  0.5000  0.2473

Largest 8 diffraction maxima, in order of rising 2θ, 5 to 70 degrees two-theta:
30.80°, intensity 23, (1 0 4); 34.55°, intensity 11, (1 1 2); 38.43°, intensity 22, (1 0 6); 38.90°, intensity 100, (1 1 4); 47.35°, intensity 46, (2 0 0); 57.20°, intensity 14, (1 0 10); 62.55°, intensity 11, (2 1 6); 69.21°, intensity 16, (2 2 0)

No. 2
Simulated X-ray diffraction stick pattern
Compound: TiFeSn
Radiation: Cu Kα X-rays
Structure: a DFT-relaxed cell (GGA-PBE, the Materials Project)
Peak positions follow from Bragg's law for the DFT cell and can differ from measured ones.

Cell and atoms:
abc: 6.2248 6.2248 6.2248
angles: 90.00 90.00 90.00
Space group F-43m (No. 216)
Symmetry-distinct sites (fractional):
Ti  0.0000  0.0000  0.0000
Fe  0.2500  0.2500  0.7500
Sn  0.2500  0.2500  0.2500

Largest 8 diffraction maxima, in order of rising 2θ, 5 to 70 degrees two-theta:
24.77°, intensity 29, (1 1 1); 28.68°, intensity 45, (2 0 0); 41.01°, intensity 100, (2 2 0); 48.50°, intensity 15, (3 1 1); 50.81°, intensity 13, (2 2 2); 59.39°, intensity 16, (4 0 0); 65.35°, intensity 7, (3 3 1); 67.26°, intensity 17, (4 2 0)

No. 3
Simulated X-ray diffraction stick pattern
Compound: DyMg2
Radiation: Cu Kα X-rays
Structure: a DFT-relaxed cell (GGA-PBE, the Materials Project)
Peak positions follow from Bragg's law for the DFT cell and can differ from measured ones.

Cell and atoms:
abc: 8.5275 8.5275 8.5275
angles: 90.00 90.00 90.00
Space group Fd-3m (No. 227, origin choice 2)
Symmetry-distinct sites (fractional):
Dy  0.1250  0.1250  0.1250
Mg  0.0000  0.0000  0.5000

Largest 8 diffraction maxima, in order of rising 2θ, 5 to 70 degrees two-theta:
18.02°, intensity 65, (1 1 1); 29.63°, intensity 100, (2 2 0); 34.90°, intensity 98, (3 1 1); 46.41°, intensity 18, (3 3 1); 52.58°, intensity 41, (4 2 2); 56.04°, intensity 33, (5 1 1); 61.51°, intensity 22, (4 4 0); 69.75°, intensity 17, (6 2 0)

No. 4
Simulated X-ray diffraction stick pattern
Compound: LaCoSi
Radiation: Cu Kα X-rays
Structure: a DFT-relaxed cell (GGA-PBE, the Materials Project)
Peak positions follow from Bragg's law for the DFT cell and can differ from measured ones.

Cell and atoms:
abc: 4.0482 4.0482 7.3425
angles: 90.00 90.00 90.00
Space group P4/nmm (No. 129, origin choice 2)
Symmetry-distinct sites (fractional):
La  0.2500  0.2500  0.1910
Co  0.2500  0.7500  0.5000
Si  0.2500  0.2500  0.6583

Largest 8 diffraction maxima, in order of rising 2θ, 5 to 70 degrees two-theta:
25.12°, intensity 100, (1 0 1); 31.25°, intensity 29, (1 1 0); 32.94°, intensity 67, (1 0 2); 33.60°, intensity 42, (1 1 1); 39.94°, intensity 85, (1 1 2); 44.78°, intensity 51, (2 0 0); 52.03°, intensity 28, (2 1 1); 56.69°, intensity 28, (2 1 2)

No. 5
Simulated X-ray diffraction stick pattern
Compound: Na3MgZrP3O12
Radiation: Cu Kα X-rays
Structure: a DFT-relaxed cell (GGA-PBE, the Materials Project)
Peak positions follow from Bragg's law for the DFT cell and can differ from measured ones.

Cell and atoms:
abc: 15.6794 9.0390 9.0028
angles: 90.00 124.73 90.00
Space group Cc (No. 9)
Symmetry-distinct sites (fractional):
Na  0.0000  0.0552  0.0000
Na  0.0676  0.2813  0.7027
Na  0.3155  0.1157  0.9606
Mg  0.4155  0.2503  0.7735
Zr  0.2082  0.2585  0.1589
P  0.1660  0.1038  0.4790
P  0.3195  0.4506  0.9810
P  0.4568  0.1059  0.4607
O  0.0490  0.3176  0.9661
O  0.0706  0.1632  0.4658
O  0.1594  0.0712  0.9733
O  0.1637  0.1437  0.3056
O  0.2330  0.3524  0.9683
O  0.2601  0.4430  0.3136
O  0.2677  0.1552  0.6485
O  0.3557  0.1637  0.2801
O  0.3817  0.4593  0.6530
O  0.3921  0.3478  0.9648
O  0.4542  0.1576  0.6178
O  0.4634  0.0626  0.9552

Largest 8 diffraction maxima, in order of rising 2θ, 5 to 70 degrees two-theta:
13.88°, intensity 65, (1 1 -1); 19.58°, intensity 100, (1 1 1); 23.06°, intensity 45, (0 2 1); 24.05°, intensity 39, (0 0 2); 31.07°, intensity 65, (3 1 1); 31.26°, intensity 61, (0 2 2); 31.41°, intensity 49, (3 1 -3); 34.34°, intensity 91, (6 0 -2)

No. 6
Simulated X-ray diffraction stick pattern
Compound: Dy3Cu4Ge4
Radiation: Cu Kα X-rays
Structure: a DFT-relaxed cell (GGA-PBE, the Materials Project)
Peak positions follow from Bragg's law for the DFT cell and can differ from measured ones.

Cell and atoms:
abc: 4.1896 6.6467 13.9039
angles: 90.00 90.00 90.00
Space group Immm (No. 71)
Symmetry-distinct sites (fractional):
Dy  0.0000  0.0000  0.0000
Dy  0.0000  0.5000  0.1301
Cu  0.0000  0.3103  0.3311
Ge  0.0000  0.0000  0.2168
Ge  0.0000  0.1916  0.5000

Largest 8 diffraction maxima, in order of rising 2θ, 5 to 70 degrees two-theta:
35.04°, intensity 100, (1 2 1); 36.20°, intensity 84, (1 1 4); 38.86°, intensity 17, (0 0 6); 43.19°, intensity 31, (2 0 0); 45.37°, intensity 24, (0 3 3); 47.84°, intensity 13, (1 2 5); 56.74°, intensity 11, (2 1 5); 64.43°, intensity 16, (2 3 3)